Record 1
CaSbAs3: calculated powder X-ray diffraction pattern (λ = 1.5418 Å (Cu Kα)), based on the GGA-PBE geometry in Alexandria.
Neutral-atom scattering factors, no anomalous dispersion.

Atomic structure:
a b c (Å): 5.2869 5.2869 5.2869
angles (deg): 90.00 90.00 90.00
Space group Pm-3m (No. 221)
Inequivalent atoms, fractional coordinates:
Ca 0.0000 0.0000 0.0000 x1
Sb 0.5000 0.5000 0.5000 x1
As 0.0000 0.5000 0.5000 x3

The 6 most intense peaks (10° ≤ 2θ ≤ 90°), in order of rising 2θ:
- 16.77 deg, rel. 87.2, hkl 1 0 0
- 29.26 deg, rel. 30.2, hkl 1 1 1
- 33.91 deg, rel. 100.0, hkl 2 0 0
- 38.06 deg, rel. 45.5, hkl 2 1 0
- 48.72 deg, rel. 70.3, hkl 2 2 0
- 81.40 deg, rel. 30.6, hkl 4 2 0

Record 2
Nd3NpAs4: calculated powder X-ray diffraction pattern (λ = 1.5418 Å (Cu Kα)), based on the GGA-PBE geometry in Alexandria.
Neutral-atom scattering factors, no anomalous dispersion.

Atomic structure:
a b c (Å): 7.3293 8.4587 7.3177
angles (deg): 90.00 109.50 90.00
Space group P2/c (No. 13)
Inequivalent atoms, fractional coordinates:
Nd 0.0000 0.1242 0.2500 x2
Nd 0.0000 0.3744 0.7500 x2
Nd 0.5000 0.1245 0.7500 x2
Np 0.5000 0.3754 0.2500 x2
As 0.2543 0.1309 0.0064 x4
As 0.2607 0.3804 0.4987 x4

The 6 most intense peaks (10° ≤ 2θ ≤ 90°), in order of rising 2θ:
- 25.81 deg, rel. 25.3, hkl 2 0 0
- 29.88 deg, rel. 100.0, hkl 1 2 1
- 42.77 deg, rel. 75.2, hkl 2 0 2
- 53.05 deg, rel. 26.6, hkl 0 0 4
- 70.42 deg, rel. 34.0, hkl 0 4 4
- 78.31 deg, rel. 18.9, hkl 1 6 -3

Record 3
Ca8As5Cl: calculated powder X-ray diffraction pattern (λ = 1.5418 Å (Cu Kα)), based on the GGA-PBE geometry in Alexandria.
Neutral-atom scattering factors, no anomalous dispersion.

Atomic structure:
a b c (Å): 8.9696 8.9696 9.0082
angles (deg): 90.00 90.00 90.00
Space group I-4 (No. 82)
Inequivalent atoms, fractional coordinates:
Ca 0.0683 0.3257 0.0549 x8
Ca 0.0725 0.1896 0.6775 x8
As 0.0000 0.5000 0.7500 x2
As 0.1329 0.2505 0.3670 x8
Cl 0.0000 0.0000 0.0000 x2

The 6 most intense peaks (10° ≤ 2θ ≤ 90°), in order of rising 2θ:
- 24.27 deg, rel. 33.6, hkl 1 2 1
- 31.42 deg, rel. 43.7, hkl 1 0 3
- 31.54 deg, rel. 100.0, hkl 3 1 0
- 37.46 deg, rel. 85.7, hkl 2 1 3
- 47.47 deg, rel. 20.8, hkl 2 3 3
- 63.96 deg, rel. 25.2, hkl 6 1 1

Record 4
Mg5In4Pd2: calculated powder X-ray diffraction pattern (λ = 1.5418 Å (Cu Kα)), based on the GGA-PBE geometry in Alexandria.
Neutral-atom scattering factors, no anomalous dispersion.

Atomic structure:
a b c (Å): 7.5125 17.2261 3.5459
angles (deg): 90.00 90.00 90.00
Space group Pbam (No. 55)
Inequivalent atoms, fractional coordinates:
Mg 0.0000 0.0000 0.0000 x2
Mg 0.1258 0.4162 0.0000 x4
Mg 0.2470 0.7213 0.0000 x4
In 0.0756 0.8512 0.5000 x4
In 0.1977 0.5646 0.5000 x4
Pd 0.0364 0.3041 0.5000 x4

The 6 most intense peaks (10° ≤ 2θ ≤ 90°), in order of rising 2θ:
- 23.82 deg, rel. 51.2, hkl 1 4 0
- 25.11 deg, rel. 100.0, hkl 0 0 1
- 34.88 deg, rel. 94.4, hkl 1 4 1
- 36.37 deg, rel. 75.8, hkl 2 2 1
- 38.30 deg, rel. 62.9, hkl 2 3 1
- 38.50 deg, rel. 47.6, hkl 1 7 0

Record 5
CdH: calculated powder X-ray diffraction pattern (λ = 1.5418 Å (Cu Kα)), based on the GGA-PBE geometry in Alexandria.
Neutral-atom scattering factors, no anomalous dispersion.

Atomic structure:
a b c (Å): 9.5593 3.3408 6.2714
angles (deg): 90.00 90.00 90.00
Space group Pmn2_1 (No. 31)
Inequivalent atoms, fractional coordinates:
Cd 0.0000 0.1753 0.0000 x2
Cd 0.1968 0.7779 0.5148 x4
H 0.0000 0.7941 0.5769 x2
H 0.2234 0.2956 0.3326 x4

The 6 most intense peaks (10° ≤ 2θ ≤ 90°), in order of rising 2θ:
- 28.46 deg, rel. 64.0, hkl 0 0 2
- 30.31 deg, rel. 100.0, hkl 0 1 1
- 31.49 deg, rel. 79.3, hkl 3 0 1
- 39.07 deg, rel. 39.1, hkl 3 1 0
- 49.05 deg, rel. 51.1, hkl 3 1 2
- 51.57 deg, rel. 21.6, hkl 0 1 3